No. 1
Theoretical PXRD pattern of DySc4As5 for CuKα, from the GGA-PBE geometry in Alexandria.
No peak broadening, texture or thermal motion is included.

Structural model:
Cell: 10.3883 10.3883 10.3883 Å, 158.20 148.88 38.32°
Positions (direct):
1 Dy 0.0000 0.0000 0.0000
2 Sc 0.2026 0.2026 0.0000
3 Sc 0.3991 0.3991 0.0000
4 Sc 0.6009 0.6009 0.0000
5 Sc 0.7974 0.7974 0.0000
6 As 0.1057 0.6057 0.5000
7 As 0.3007 0.8007 0.5000
8 As 0.5000 0.0000 0.5000
9 As 0.6993 0.1993 0.5000
10 As 0.8943 0.3943 0.5000

Main lines, by angle (15° ≤ 2θ ≤ 90°):
- 16.5°, rel. 11
- 32.1°, rel. 51
- 32.2°, rel. 100
- 33.4°, rel. 8
- 46.2°, rel. 90
- 46.3°, rel. 17
- 57.4°, rel. 36
- 67.5°, rel. 11
- 76.5°, rel. 15
- 76.7°, rel. 30
- 85.4°, rel. 12
- 85.6°, rel. 22


No. 2
Theoretical PXRD pattern of Dy8Te4As3Se for CuKα, from the GGA-PBE geometry in Alexandria.
No peak broadening, texture or thermal motion is included.

Structural model:
Cell: 8.5676 8.5676 8.5676 Å, 58.55 58.55 58.55°
Positions (direct):
1 Dy 0.2338 0.7416 0.7416
2 Dy 0.2389 0.2389 0.2389
3 Dy 0.2584 0.2584 0.7662
4 Dy 0.2584 0.7662 0.2584
5 Dy 0.7416 0.2338 0.7416
6 Dy 0.7416 0.7416 0.2338
7 Dy 0.7611 0.7611 0.7611
8 Dy 0.7662 0.2584 0.2584
9 Te 0.0000 0.0000 0.0000
10 Te 0.0000 0.5000 0.5000
11 Te 0.5000 0.0000 0.5000
12 Te 0.5000 0.5000 0.0000
13 As 0.0000 0.0000 0.5000
14 As 0.0000 0.5000 0.0000
15 As 0.5000 0.0000 0.0000
16 Se 0.5000 0.5000 0.5000

Main lines, by angle (15° ≤ 2θ ≤ 90°):
- 26.0°, rel. 7
- 29.8°, rel. 100
- 32.5°, rel. 7
- 42.2°, rel. 34
- 43.2°, rel. 38
- 53.4°, rel. 20
- 59.0°, rel. 6
- 62.0°, rel. 11
- 69.6°, rel. 12
- 71.0°, rel. 17
- 78.5°, rel. 11
- 79.2°, rel. 6


No. 3
Theoretical PXRD pattern of Sm3DyAs4 for CuKα, from the GGA-PBE geometry in Alexandria.
No peak broadening, texture or thermal motion is included.

Structural model:
Cell: 7.2577 7.2577 4.1935 Å, 90.00 90.00 109.46°
Positions (direct):
1 Sm 0.0000 0.0000 0.0000
2 Sm 0.0000 0.5000 0.5000
3 Sm 0.5000 0.0000 0.5000
4 Dy 0.5000 0.5000 0.0000
5 As 0.2520 0.7480 0.0000
6 As 0.2539 0.2539 0.5000
7 As 0.7461 0.7461 0.5000
8 As 0.7480 0.2520 0.0000

Main lines, by angle (15° ≤ 2θ ≤ 90°):
- 26.0°, rel. 20
- 30.2°, rel. 100
- 43.2°, rel. 75
- 51.1°, rel. 10
- 53.6°, rel. 26
- 62.7°, rel. 12
- 69.1°, rel. 4
- 71.1°, rel. 34
- 79.2°, rel. 25
- 85.0°, rel. 3